Diffraction record for ZnCu3Bi4O12. The powder X-ray diffraction pattern is simulated, not measured: it uses a PBE-relaxed structure and λ = 1.5418 Å (Cu Kα).
Lines closer than 0.1° are merged.

Structure:
Unit cell a=7.0992 b=7.0992 c=7.0992 alpha=109.47 beta=109.47 gamma=109.47
Element x y z (fractional)
Zn  0.0000  0.0000  0.0000
Cu  0.0000  0.5000  0.5000
Cu  0.5000  0.0000  0.5000
Cu  0.5000  0.5000  0.0000
Bi  0.0000  0.0000  0.5000
Bi  0.0000  0.5000  0.0000
Bi  0.5000  0.0000  0.0000
Bi  0.5000  0.5000  0.5000
O  0.1544  0.3223  0.4767
O  0.1544  0.6777  0.8321
O  0.1679  0.8456  0.3223
O  0.3223  0.1679  0.8456
O  0.3223  0.4767  0.1544
O  0.4767  0.1544  0.3223
O  0.5233  0.8456  0.6777
O  0.6777  0.5233  0.8456
O  0.6777  0.8321  0.1544
O  0.8321  0.1544  0.6777
O  0.8456  0.3223  0.1679
O  0.8456  0.6777  0.5233

Peak list (6 most intense, 2θ from 10° to 80°, sorted by position)
d [Å]  2θ (°)  intensity
4.099  21.68  31
2.898  30.85  100
2.049  44.19  21
1.833  49.74  18
1.673  54.87  47
1.296  72.99  19